(1)
# Tm2Ga5Ni3
Computed powder diffraction line list, Cu Kα X-rays. Input: a GGA-PBE-relaxed structure.
Intensities are scaled so that the largest is 100.

Cell and atoms:
```
data_Tm2Ga5Ni3
_symmetry_space_group_name_H-M 'I b a m'
_symmetry_Int_Tables_number 72
_symmetry_space_group_name_Hall '-I 2 2c'
_cell_length_a 9.746
_cell_length_b 12.338
_cell_length_c 5.458
_cell_angle_alpha 90.00
_cell_angle_beta 90.00
_cell_angle_gamma 90.00
loop_
_atom_site_label
_atom_site_fract_x
_atom_site_fract_y
_atom_site_fract_z
_atom_site_occupancy
Tm1 0.221 0.147 0.000 1
Ga1 0.000 0.000 0.250 1
Ga2 0.000 0.294 0.250 1
Ga3 0.177 0.414 0.000 1
Ni1 0.000 0.500 0.250 1
Ni2 0.090 0.147 0.500 1
```

Largest 12 diffraction maxima, most intense first, 2θ = 5–70°:
- 2.545 Å, I = 100
- 2.381 Å, I = 91
- 2.044 Å, I = 68
- 2.606 Å, I = 66
- 2.189 Å, I = 39
- 2.589 Å, I = 35
- 2.214 Å, I = 27
- 2.727 Å, I = 27
- 3.770 Å, I = 27
- 2.436 Å, I = 21
- 2.070 Å, I = 18
- 3.084 Å, I = 17



(2)
# TmGa3Ni
Computed powder diffraction line list, Cu Kα X-rays. Input: a GGA-PBE-relaxed structure.
Intensities are scaled so that the largest is 100.

Cell and atoms:
```
data_TmGa3Ni
_symmetry_space_group_name_H-M 'P n m a'
_symmetry_Int_Tables_number 62
_cell_length_a 8.086
_cell_length_b 4.032
_cell_length_c 10.529
_cell_angle_alpha 90.00
_cell_angle_beta 90.00
_cell_angle_gamma 90.00
loop_
_symmetry_equiv_pos_as_xyz
'x,y,z'
'-x,-y,-z'
'-x+1/2,-y,z+1/2'
'x+1/2,y,-z+1/2'
'x+1/2,-y+1/2,-z+1/2'
'-x+1/2,y+1/2,z+1/2'
'-x,y+1/2,-z'
'x,-y+1/2,z'
loop_
_atom_site_label
_atom_site_fract_x
_atom_site_fract_y
_atom_site_fract_z
_atom_site_occupancy
Tm1 0.192 0.250 0.013 1
Ga1 0.061 0.250 0.586 1
Ga2 0.110 0.750 0.804 1
Ga3 0.142 0.750 0.217 1
Ni1 0.101 0.250 0.355 1
```

Largest 12 diffraction maxima, most intense first, 2θ = 5–70°:
- 2.513 Å, I = 100
- 2.192 Å, I = 22
- 2.016 Å, I = 21
- 2.611 Å, I = 15
- 1.489 Å, I = 12
- 3.413 Å, I = 12
- 2.038 Å, I = 10
- 1.708 Å, I = 8
- 2.206 Å, I = 8
- 3.207 Å, I = 8
- 1.596 Å, I = 7
- 1.433 Å, I = 6



(3)
# Tm4Ga12Ni
Computed powder diffraction line list, Cu Kα X-rays. Input: a GGA-PBE-relaxed structure.
Intensities are scaled so that the largest is 100.

Cell and atoms:
```
data_Tm4Ga12Ni
_symmetry_space_group_name_H-M 'I m -3 m'
_symmetry_Int_Tables_number 229
_symmetry_space_group_name_Hall '-I 4 2 3'
_cell_length_a 8.517
_cell_length_b 8.517
_cell_length_c 8.517
_cell_angle_alpha 90.00
_cell_angle_beta 90.00
_cell_angle_gamma 90.00
loop_
_atom_site_label
_atom_site_fract_x
_atom_site_fract_y
_atom_site_fract_z
_atom_site_occupancy
Tm1 0.250 0.250 0.250 1
Ga1 0.000 0.000 0.287 1
Ga2 0.000 0.250 0.500 1
Ni1 0.000 0.000 0.000 1
```

Largest 12 diffraction maxima, most intense first, 2θ = 5–70°:
- 2.459 Å, I = 100
- 2.129 Å, I = 58
- 1.506 Å, I = 35
- 3.011 Å, I = 28
- 4.259 Å, I = 13
- 1.739 Å, I = 9
- 1.905 Å, I = 9
- 1.347 Å, I = 7
- 1.420 Å, I = 5
- 2.276 Å, I = 5
- 1.816 Å, I = 4
- 2.693 Å, I = 3



What did the second record say?
# TmGa3Ni
Computed powder diffraction line list, Cu Kα X-rays. Input: a GGA-PBE-relaxed structure.
Intensities are scaled so that the largest is 100.

Cell and atoms:
```
data_TmGa3Ni
_symmetry_space_group_name_H-M 'P n m a'
_symmetry_Int_Tables_number 62
_cell_length_a 8.086
_cell_length_b 4.032
_cell_length_c 10.529
_cell_angle_alpha 90.00
_cell_angle_beta 90.00
_cell_angle_gamma 90.00
loop_
_symmetry_equiv_pos_as_xyz
'x,y,z'
'-x,-y,-z'
'-x+1/2,-y,z+1/2'
'x+1/2,y,-z+1/2'
'x+1/2,-y+1/2,-z+1/2'
'-x+1/2,y+1/2,z+1/2'
'-x,y+1/2,-z'
'x,-y+1/2,z'
loop_
_atom_site_label
_atom_site_fract_x
_atom_site_fract_y
_atom_site_fract_z
_atom_site_occupancy
Tm1 0.192 0.250 0.013 1
Ga1 0.061 0.250 0.586 1
Ga2 0.110 0.750 0.804 1
Ga3 0.142 0.750 0.217 1
Ni1 0.101 0.250 0.355 1
```

Largest 12 diffraction maxima, most intense first, 2θ = 5–70°:
- 2.513 Å, I = 100
- 2.192 Å, I = 22
- 2.016 Å, I = 21
- 2.611 Å, I = 15
- 1.489 Å, I = 12
- 3.413 Å, I = 12
- 2.038 Å, I = 10
- 1.708 Å, I = 8
- 2.206 Å, I = 8
- 3.207 Å, I = 8
- 1.596 Å, I = 7
- 1.433 Å, I = 6



What did the third record say?
# Tm4Ga12Ni
Computed powder diffraction line list, Cu Kα X-rays. Input: a GGA-PBE-relaxed structure.
Intensities are scaled so that the largest is 100.

Cell and atoms:
```
data_Tm4Ga12Ni
_symmetry_space_group_name_H-M 'I m -3 m'
_symmetry_Int_Tables_number 229
_symmetry_space_group_name_Hall '-I 4 2 3'
_cell_length_a 8.517
_cell_length_b 8.517
_cell_length_c 8.517
_cell_angle_alpha 90.00
_cell_angle_beta 90.00
_cell_angle_gamma 90.00
loop_
_atom_site_label
_atom_site_fract_x
_atom_site_fract_y
_atom_site_fract_z
_atom_site_occupancy
Tm1 0.250 0.250 0.250 1
Ga1 0.000 0.000 0.287 1
Ga2 0.000 0.250 0.500 1
Ni1 0.000 0.000 0.000 1
```

Largest 12 diffraction maxima, most intense first, 2θ = 5–70°:
- 2.459 Å, I = 100
- 2.129 Å, I = 58
- 1.506 Å, I = 35
- 3.011 Å, I = 28
- 4.259 Å, I = 13
- 1.739 Å, I = 9
- 1.905 Å, I = 9
- 1.347 Å, I = 7
- 1.420 Å, I = 5
- 2.276 Å, I = 5
- 1.816 Å, I = 4
- 2.693 Å, I = 3



- What is the formula in the second record?
  TmGa3Ni